# 1
The following is a computed powder diffractogram of AgGe2Br5. It was derived from a cell relaxed with GGA-PBE, using CuKα.
No peak broadening, texture or thermal motion is included.

The 12 most intense peaks (15° ≤ 2θ ≤ 90°), in order of falling intensity:
d/Å  2θ/deg  Rel. int.  (hkl)
3.098  28.82  100  3 1 -2
3.251  27.44  100  1 1 -4
2.535  35.41  76  2 2 2
3.184  28.02  67  2 1 2
4.232  20.99  51  2 1 -1
3.892  22.85  50  0 1 3
2.106  42.94  41  1 0 6
2.033  44.58  40  4 0 -6
1.984  45.73  28  5 0 0
5.006  17.72  28  0 1 2
2.568  34.94  26  1 2 -4
2.209  40.85  22  4 1 1

Cell and atoms:
```
data_AgGe2Br5
_chemical_formula_sum 'Ag4 Ge8 Br20'
_symmetry_space_group_name_H-M 'P 1 21/c 1'
_symmetry_Int_Tables_number 14
_cell_length_a 10.4359
_cell_length_b 7.2541
_cell_length_c 14.5569
_cell_angle_alpha 90.00
_cell_angle_beta 108.08
_cell_angle_gamma 90.00
loop_
_symmetry_equiv_pos_as_xyz
'x,y,z'
'-x,-y,-z'
'-x,y+1/2,-z+1/2'
'x,-y+1/2,z+1/2'
loop_
_atom_site_label
_atom_site_type_symbol
_atom_site_fract_x
_atom_site_fract_y
_atom_site_fract_z
Ag1 Ag 0.0000 0.0000 0.0000
Ag2 Ag 0.5000 0.0000 0.0000
Ge1 Ge 0.1254 0.0637 0.3962
Ge2 Ge 0.3213 0.5955 0.2012
Br1 Br 0.0812 0.7342 0.7064
Br2 Br 0.1218 0.1978 0.5624
Br3 Br 0.2921 0.2055 0.8699
Br4 Br 0.3060 0.7268 0.5452
Br5 Br 0.4705 0.6973 0.8276
```

***

# 2
The following is a computed powder diffractogram of La8AgGe3Br4. It was derived from a cell relaxed with GGA-PBE, using CuKα.
No peak broadening, texture or thermal motion is included.

The 12 most intense peaks (15° ≤ 2θ ≤ 90°), in order of falling intensity:
d/Å  2θ/deg  Rel. int.  (hkl)
3.124  28.57  100  0 2 4
2.225  40.55  39  2 2 0
2.194  41.15  35  2 0 8
1.812  50.35  20  4 0 4
1.405  66.55  17  2 4 4
1.389  67.41  15  2 2 12
1.278  74.17  12  4 2 8
1.562  59.15  12  0 4 8
3.625  24.56  8  2 0 2
1.285  73.76  6  6 0 0
1.779  51.37  6  0 0 12
1.261  75.40  5  0 2 16

Cell and atoms:
```
data_La8AgGe3Br4
_chemical_formula_sum 'La24 Ag3 Ge9 Br12'
_symmetry_space_group_name_H-M 'R -3 m'
_symmetry_Int_Tables_number 166
_symmetry_space_group_name_Hall '-R 3 2"'
_cell_length_a 8.8995
_cell_length_b 8.8995
_cell_length_c 21.3440
_cell_angle_alpha 90.00
_cell_angle_beta 90.00
_cell_angle_gamma 120.00
loop_
_atom_site_label
_atom_site_type_symbol
_atom_site_fract_x
_atom_site_fract_y
_atom_site_fract_z
La1 La 0.0000 0.0000 0.2417
La2 La 0.0113 0.5057 0.7553
Ag1 Ag 0.0000 0.0000 0.5000
Ge1 Ge 0.0000 0.5000 0.5000
Br1 Br 0.0000 0.0000 0.0000
Br2 Br 0.0000 0.5000 0.0000
```